1.
# K2GaPCO7
Calculated X-ray diffraction stick pattern, Cu Ka. Input: a cell relaxed with GGA-PBE.
Lines closer than 0.1° are merged.

Most intense lines, 2θ from 5° to 70°, low angle first:
9.681 Å, I 100, (0 0 1); 5.539 Å, I 32, (0 1 1); 4.259 Å, I 26, (1 1 0); 3.610 Å, I 25, (1 0 2); 2.766 Å, I 65, (1 0 3); 2.752 Å, I 27, (1 2 1); 2.744 Å, I 27, (2 0 0); 2.193 Å, I 15, (0 3 1)

Cell and atoms:
```
K2GaPCO7
1.0
5.488 0.000 0.000
0.000 6.754 0.000
-0.108 0.000 9.681
K Ga P C O
4 2 2 2 14
direct
0.243 0.026 0.241 K
0.243 0.474 0.241 K
0.757 0.526 0.759 K
0.757 0.974 0.759 K
0.233 0.250 0.642 Ga
0.767 0.750 0.358 Ga
0.277 0.750 0.565 P
0.723 0.250 0.435 P
0.271 0.250 0.897 C
0.729 0.750 0.103 C
0.061 0.250 0.829 O
0.099 0.750 0.439 O
0.239 0.562 0.655 O
0.239 0.938 0.655 O
0.293 0.250 0.025 O
0.451 0.250 0.486 O
0.457 0.250 0.810 O
0.543 0.750 0.190 O
0.549 0.750 0.514 O
0.707 0.750 0.975 O
0.761 0.062 0.345 O
0.761 0.438 0.345 O
0.901 0.250 0.561 O
0.939 0.750 0.171 O
```


2.
# NbSe2
Calculated X-ray diffraction stick pattern, Cu Ka. Input: a cell relaxed with GGA-PBE.
Lines closer than 0.1° are merged.

Most intense lines, 2θ from 5° to 70°, low angle first:
7.054 Å, I 100, (0 0 4); 2.958 Å, I 60, (1 0 2); 2.544 Å, I 31, (1 0 6); 2.420 Å, I 38, (1 0 7); 2.296 Å, I 29, (1 0 8); 2.177 Å, I 31, (1 0 9); 2.063 Å, I 25, (1 0 10); 1.747 Å, I 43, (1 1 0)

Cell and atoms:
```
NbSe2
1.0
3.493 0.000 0.000
-1.747 3.025 0.000
0.000 0.000 28.215
Nb Se
4 8
direct
0.000 0.000 0.000 Nb
0.000 0.000 0.250 Nb
0.000 0.000 0.750 Nb
0.333 0.667 0.500 Nb
0.000 0.000 0.440 Se
0.000 0.000 0.560 Se
0.333 0.667 0.060 Se
0.333 0.667 0.940 Se
0.667 0.333 0.191 Se
0.667 0.333 0.310 Se
0.667 0.333 0.690 Se
0.667 0.333 0.809 Se
```


3.
# Sb2S2O9
Calculated X-ray diffraction stick pattern, Cu Ka. Input: a cell relaxed with GGA-PBE.
Lines closer than 0.1° are merged.

Most intense lines, 2θ from 5° to 70°, low angle first:
5.298 Å, I 100, (1 0 2); 3.662 Å, I 40, (1 1 3); 3.644 Å, I 60, (1 0 4); 3.282 Å, I 73, (2 0 1); 3.199 Å, I 37, (1 1 4); 3.119 Å, I 55, (2 0 2); 2.657 Å, I 97, (1 0 6); 2.054 Å, I 53, (3 1 2)

Cell and atoms:
```
Sb2S2O9
1.0
6.683 0.000 0.000
0.000 6.683 0.000
0.000 0.000 17.386
Sb S O
8 8 36
direct
0.022 0.152 0.157 Sb
0.152 0.022 0.843 Sb
0.348 0.522 0.407 Sb
0.478 0.652 0.093 Sb
0.522 0.348 0.593 Sb
0.652 0.478 0.907 Sb
0.848 0.978 0.343 Sb
0.978 0.848 0.657 Sb
0.037 0.355 0.696 S
0.145 0.537 0.946 S
0.355 0.037 0.304 S
0.463 0.855 0.554 S
0.537 0.145 0.054 S
0.645 0.963 0.804 S
0.855 0.463 0.446 S
0.963 0.645 0.196 S
0.002 0.370 0.954 O
0.038 0.826 0.152 O
0.047 0.702 0.903 O
0.109 0.292 0.774 O
0.130 0.502 0.204 O
0.140 0.860 0.750 O
0.174 0.962 0.348 O
0.202 0.453 0.653 O
0.208 0.609 0.024 O
0.292 0.109 0.226 O
0.298 0.953 0.597 O
0.326 0.462 0.902 O
0.360 0.360 0.500 O
0.370 0.002 0.046 O
0.391 0.792 0.476 O
0.453 0.202 0.347 O
0.462 0.326 0.098 O
0.498 0.870 0.296 O
0.502 0.130 0.796 O
0.538 0.674 0.598 O
0.547 0.798 0.847 O
0.609 0.208 0.976 O
0.630 0.998 0.546 O
0.640 0.640 0.000 O
0.674 0.538 0.402 O
0.702 0.047 0.097 O
0.708 0.891 0.726 O
0.792 0.391 0.524 O
0.798 0.547 0.153 O
0.826 0.038 0.848 O
0.860 0.140 0.250 O
0.870 0.498 0.704 O
0.891 0.708 0.274 O
0.953 0.298 0.403 O
0.962 0.174 0.652 O
0.998 0.630 0.454 O
```


4.
# Ce3Co4Sn13
Calculated X-ray diffraction stick pattern, Cu Ka. Input: a cell relaxed with GGA-PBE.
Lines closer than 0.1° are merged.

Most intense lines, 2θ from 5° to 70°, low angle first:
2.665 Å, I 100, (3 2 0); 2.568 Å, I 36, (3 2 1); 2.402 Å, I 18, (4 0 0); 2.330 Å, I 13, (4 1 0); 1.961 Å, I 13, (4 2 2); 1.648 Å, I 14, (4 3 3); 1.559 Å, I 17, (5 3 2); 1.373 Å, I 11, (6 3 2)

Cell and atoms:
```
Ce3Co4Sn13
1.0
9.608 0.000 0.000
0.000 9.608 0.000
0.000 0.000 9.608
Ce Co Sn
6 8 26
direct
0.000 0.250 0.500 Ce
0.000 0.750 0.500 Ce
0.250 0.500 0.000 Ce
0.500 0.000 0.250 Ce
0.500 0.000 0.750 Ce
0.750 0.500 0.000 Ce
0.250 0.250 0.250 Co
0.250 0.250 0.750 Co
0.250 0.750 0.250 Co
0.250 0.750 0.750 Co
0.750 0.250 0.250 Co
0.750 0.250 0.750 Co
0.750 0.750 0.250 Co
0.750 0.750 0.750 Co
0.000 0.000 0.000 Sn
0.000 0.302 0.157 Sn
0.000 0.302 0.843 Sn
0.000 0.698 0.157 Sn
0.000 0.698 0.843 Sn
0.157 0.000 0.302 Sn
0.157 0.000 0.698 Sn
0.198 0.500 0.343 Sn
0.198 0.500 0.657 Sn
0.302 0.157 0.000 Sn
0.302 0.843 0.000 Sn
0.343 0.198 0.500 Sn
0.343 0.802 0.500 Sn
0.500 0.343 0.198 Sn
0.500 0.343 0.802 Sn
0.500 0.500 0.500 Sn
0.500 0.657 0.198 Sn
0.500 0.657 0.802 Sn
0.657 0.198 0.500 Sn
0.657 0.802 0.500 Sn
0.698 0.157 0.000 Sn
0.698 0.843 0.000 Sn
0.802 0.500 0.343 Sn
0.802 0.500 0.657 Sn
0.843 0.000 0.302 Sn
0.843 0.000 0.698 Sn
```